# Ca3N2
Calculated PXRD pattern, CuKα. Input: the GGA-PBE geometry in the Materials Project.
Neutral-atom scattering factors, no anomalous dispersion.

Crystal structure
Cell lengths 6.1966, 6.1966, 16.6545 Å; angles 90.00, 90.00, 120.00 degrees
Space group R-3c (No. 167, hexagonal axes)
Inequivalent atoms, fractional coordinates:
1 Ca 0.0000 0.3001 0.2500 [18 per cell]
2 N 0.0000 0.0000 0.1465 [12 per cell]

Largest 12 diffraction maxima, sorted by position, 15 to 90 degrees two-theta:
2θ/deg, I (rel.), hkl
19.7, 10, 0 1 2
28.8, 7, 1 1 0
32.3, 18, 0 0 6
33.1, 100, 1 1 3
40.0, 6, 0 2 4
43.8, 24, 1 1 6
45.0, 6, 2 1 1
51.1, 21, 3 0 0
58.1, 18, 1 1 9
61.7, 11, 3 0 6
62.2, 10, 2 2 3
84.6, 6, 4 1 3

# Ca3N2
Calculated PXRD pattern, CuKα. Input: the GGA-PBE geometry in the Materials Project.
Neutral-atom scattering factors, no anomalous dispersion.

Crystal structure
Cell lengths 3.8544, 3.8544, 6.9328 Å; angles 90.00, 90.00, 120.00 degrees
Space group P-3m1 (No. 164)
Inequivalent atoms, fractional coordinates:
1 Ca 0.0000 0.0000 0.0000 [1 per cell]
2 Ca 0.3333 0.6667 0.6660 [2 per cell]
3 N 0.3333 0.6667 0.2288 [2 per cell]

Largest 12 diffraction maxima, sorted by position, 15 to 90 degrees two-theta:
2θ/deg, I (rel.), hkl
29.7, 97, 1 0 1
37.4, 100, 0 1 2
39.0, 19, 0 0 3
47.2, 52, 1 1 0
56.7, 14, 0 2 1
60.2, 17, 1 0 4
61.7, 19, 2 0 2
62.8, 25, 1 1 3
74.0, 10, 0 1 5
76.8, 11, 2 1 1
81.1, 16, 1 2 2
87.7, 7, 3 0 0

# Ca3N2
Calculated PXRD pattern, CuKα. Input: the GGA-PBE geometry in the Materials Project.
Neutral-atom scattering factors, no anomalous dispersion.

Crystal structure
Cell lengths 8.9738, 6.2136, 6.3620 Å; angles 90.00, 90.00, 90.00 degrees
Space group Pbcn (No. 60)
Inequivalent atoms, fractional coordinates:
1 Ca 0.0000 0.0450 0.2500 [4 per cell]
2 Ca 0.1529 0.3937 0.6051 [8 per cell]
3 N 0.1121 0.2472 0.9686 [8 per cell]

Largest 12 diffraction maxima, sorted by position, 15 to 90 degrees two-theta:
2θ/deg, I (rel.), hkl
29.8, 31, 1 0 2
32.1, 37, 0 2 1
33.2, 100, 3 1 0
33.6, 35, 1 2 1
34.6, 12, 2 0 2
36.2, 20, 3 1 1
37.6, 32, 2 1 2
46.4, 11, 1 1 3
49.7, 17, 4 0 2
50.6, 22, 2 3 1
55.9, 14, 3 3 1
67.9, 14, 4 2 3